The following is a theoretical powder X-ray diffraction pattern of NaAg2AsS4. It was derived from DFT lattice parameters and positions (GGA-PBE), using Cu Kα.
Kinematic intensities with the Lorentz-polarization factor, no thermal factor.

Cell and atoms:
```
data_NaAg2AsS4
_chemical_formula_sum 'Na4 Ag8 As4 S16'
_space_group_name_H-M_alt 'F m m 2'
_space_group_IT_number 42
_space_group_name_Hall 'F 2 -2'
_cell_length_a 8.7519
_cell_length_b 8.7602
_cell_length_c 10.1332
_cell_angle_alpha 90.00
_cell_angle_beta 90.00
_cell_angle_gamma 90.00
loop_
_atom_site_label
_atom_site_type_symbol
_atom_site_fract_x
_atom_site_fract_y
_atom_site_fract_z
_atom_site_occupancy
Na1 Na 0.0000 0.0000 0.0000 1
Ag1 Ag 0.2500 0.2500 0.2494 1
As1 As 0.0000 0.0000 0.4992 1
S1 S 0.0000 0.2078 0.6238 1
S2 S 0.2080 0.0000 0.3746 1
```

The 6 most intense peaks (2θ from 10° to 90°), low angle first:
- 16.78 deg, rel. 16.1, (1 1 1)
- 26.91 deg, rel. 100.0, (2 0 2)
- 28.84 deg, rel. 14.9, (2 2 0)
- 41.23 deg, rel. 26.9, (4 0 0)
- 46.32 deg, rel. 37.7, (2 2 4)
- 49.94 deg, rel. 32.2, (4 2 2)

The following is a theoretical powder X-ray diffraction pattern of K2InGe3Au4. It was derived from DFT lattice parameters and positions (GGA-PBE), using Cu Kα.
Kinematic intensities with the Lorentz-polarization factor, no thermal factor.

Cell and atoms:
```
data_K2InGe3Au4
_chemical_formula_sum 'K2 In1 Ge3 Au4'
_space_group_name_H-M_alt 'P -4 m 2'
_space_group_IT_number 115
_cell_length_a 4.7825
_cell_length_b 4.7825
_cell_length_c 10.4619
_cell_angle_alpha 90.00
_cell_angle_beta 90.00
_cell_angle_gamma 90.00
loop_
_space_group_symop_operation_xyz
'x,y,z'
'y,-x,-z'
'-x,-y,z'
'-y,x,-z'
'-x,y,z'
'-y,-x,-z'
'x,-y,z'
'y,x,-z'
loop_
_atom_site_label
_atom_site_type_symbol
_atom_site_fract_x
_atom_site_fract_y
_atom_site_fract_z
_atom_site_occupancy
K1 K 0.0000 0.5000 0.2440 1
In1 In 0.0000 0.0000 0.5000 1
Ge1 Ge 0.0000 0.5000 0.8880 1
Ge2 Ge 0.5000 0.5000 0.5000 1
Au1 Au 0.0000 0.0000 0.0000 1
Au2 Au 0.0000 0.5000 0.6380 1
Au3 Au 0.5000 0.5000 0.0000 1
```

The 6 most intense peaks (2θ from 10° to 90°), low angle first:
- 16.95 deg, rel. 46.8, (0 0 2)
- 20.42 deg, rel. 56.9, (1 0 1)
- 31.50 deg, rel. 100.0, (1 1 2)
- 37.62 deg, rel. 91.4, (2 0 0)
- 43.75 deg, rel. 86.0, (1 1 4)
- 72.16 deg, rel. 45.3, (0 0 8)